This entry pairs a crystal structure of YTl3As2O6 with its theoretical X-ray diffraction stick pattern. Radiation: Cu Ka. Structure: DFT lattice parameters and positions (GGA-PBE).
Lines closer than 0.1° are merged.

Principal peaks in the range 10 to 80 degrees two-theta, by angle:
(1 0 1), 2θ = 20.88°, d = 4.254 Å, I = 17.8
(1 1 0), 2θ = 29.70°, d = 3.008 Å, I = 100.0
(0 0 3), 2θ = 36.59°, d = 2.456 Å, I = 12.8
(2 0 2), 2θ = 42.50°, d = 2.127 Å, I = 24.4
(1 1 3), 2θ = 47.81°, d = 1.902 Å, I = 10.5
(3 0 0), 2θ = 52.70°, d = 1.737 Å, I = 38.6
(2 2 0), 2θ = 61.66°, d = 1.504 Å, I = 15.1
(3 1 2), 2θ = 69.92°, d = 1.345 Å, I = 16.3

Crystal structure
```
data_YTl3As2O6
_symmetry_space_group_name_H-M 'P -3 m 1'
_symmetry_Int_Tables_number 164
_symmetry_space_group_name_Hall '-P 3 2"'
_cell_length_a 6.0201
_cell_length_b 6.0201
_cell_length_c 7.3594
_cell_angle_alpha 90.00
_cell_angle_beta 90.00
_cell_angle_gamma 120.00
loop_
_atom_site_label
_atom_site_type_symbol
_atom_site_fract_x
_atom_site_fract_y
_atom_site_fract_z
Y1 Y 0.0000 0.0000 0.0000
Tl1 Tl 0.0000 0.0000 0.5000
Tl2 Tl 0.3333 0.6667 0.1788
As1 As 0.3333 0.6667 0.7112
O1 O 0.1796 0.3593 0.8225
```